No. 1
Computed powder XRD pattern
Compound: CeRuAu
Radiation: Cu Kα
Structure: a cell relaxed with PBE
Intensities are scaled so that the largest is 100.

Largest 8 diffraction maxima, in order of rising 2θ, 2θ from 5° to 70°:
2θ = 23.68°, I 28, (1 0 1)
2θ = 27.17°, I 33, (1 0 3)
2θ = 33.06°, I 100, (1 1 0)
2θ = 40.62°, I 100, (1 0 7)
2θ = 47.45°, I 36, (2 0 0)
2θ = 59.24°, I 9, (1 1 10)
2θ = 64.20°, I 52, (2 1 7)
2θ = 69.36°, I 11, (2 2 0)

Structural model:
```
CeRuAu
1.0
3.8323 0.0000 0.0000
0.0000 3.8323 0.0000
0.0000 0.0000 19.0747
Ce Ru Au
4 4 4
Direct
0.0000 0.0000 0.1496 Ce
0.0000 0.0000 0.8504 Ce
0.5000 0.5000 0.3504 Ce
0.5000 0.5000 0.6496 Ce
0.0000 0.0000 0.2727 Ru
0.0000 0.0000 0.7273 Ru
0.5000 0.5000 0.2273 Ru
0.5000 0.5000 0.7727 Ru
0.0000 0.0000 0.4303 Au
0.0000 0.0000 0.5697 Au
0.5000 0.5000 0.0697 Au
0.5000 0.5000 0.9303 Au
```

***

No. 2
Computed powder XRD pattern
Compound: Ce6RuAu3
Radiation: Cu Kα
Structure: a cell relaxed with PBE
Intensities are scaled so that the largest is 100.

Largest 8 diffraction maxima, in order of rising 2θ, 2θ from 5° to 70°:
2θ = 27.32°, I 22, (1 2 0)
2θ = 30.28°, I 32, (1 1 2)
2θ = 32.19°, I 39, (2 0 -2)
2θ = 32.34°, I 38, (1 1 -4)
2θ = 32.53°, I 45, (0 2 3)
2θ = 33.01°, I 36, (0 0 4)
2θ = 34.32°, I 22, (2 1 -1)
2θ = 35.64°, I 100, (1 3 -1)

Structural model:
```
Ce6RuAu3
1.0
5.5783 0.0000 0.0000
0.0000 8.4777 0.0000
-4.7147 0.0000 10.8554
Ce Ru Au
12 2 6
Direct
0.0063 0.1723 0.0448 Ce
0.0063 0.3277 0.5448 Ce
0.3334 0.5165 0.2361 Ce
0.3334 0.9835 0.7361 Ce
0.3979 0.1324 0.4268 Ce
0.3979 0.3676 0.9268 Ce
0.6021 0.6324 0.0732 Ce
0.6021 0.8676 0.5732 Ce
0.6666 0.0165 0.2639 Ce
0.6666 0.4835 0.7639 Ce
0.9937 0.6723 0.4552 Ce
0.9937 0.8277 0.9552 Ce
0.0000 0.0000 0.5000 Ru
0.0000 0.5000 0.0000 Ru
0.1385 0.6462 0.7429 Au
0.1385 0.8538 0.2429 Au
0.5000 0.0000 0.0000 Au
0.5000 0.5000 0.5000 Au
0.8615 0.1462 0.7571 Au
0.8615 0.3538 0.2571 Au
```

***

No. 3
Computed powder XRD pattern
Compound: Ce2RuAu
Radiation: Cu Kα
Structure: a cell relaxed with PBE
Intensities are scaled so that the largest is 100.

Largest 8 diffraction maxima, in order of rising 2θ, 2θ from 5° to 70°:
2θ = 15.91°, I 30, (0 1 1)
2θ = 30.59°, I 58, (1 1 2)
2θ = 33.16°, I 58, (0 3 1)
2θ = 33.77°, I 100, (2 1 1)
2θ = 34.17°, I 37, (1 3 0)
2θ = 36.16°, I 44, (2 2 0)
2θ = 38.81°, I 91, (0 1 3)
2θ = 58.35°, I 28, (2 3 3)

Structural model:
```
Ce2RuAu
1.0
6.0392 0.0000 0.0000
0.0000 8.7392 0.0000
0.0000 0.0000 7.2273
Ce Ru Au
8 4 4
Direct
0.0002 0.0241 0.0000 Ce
0.0001 0.4014 0.2838 Ce
0.9999 0.5986 0.7838 Ce
0.9998 0.9759 0.5000 Ce
0.5001 0.0986 0.2838 Ce
0.5002 0.4759 0.0000 Ce
0.4998 0.5241 0.5000 Ce
0.4999 0.9014 0.7838 Ce
0.0006 0.3267 0.9726 Ru
0.4994 0.8267 0.4726 Ru
0.5006 0.1733 0.9726 Ru
0.9994 0.6733 0.4726 Ru
0.2504 0.2497 0.6499 Au
0.2496 0.7497 0.1499 Au
0.7504 0.2503 0.6499 Au
0.7496 0.7503 0.1499 Au
```

***

Copy entry 3 word for word.
Computed powder XRD pattern
Compound: Ce2RuAu
Radiation: Cu Kα
Structure: a cell relaxed with PBE
Intensities are scaled so that the largest is 100.

Largest 8 diffraction maxima, in order of rising 2θ, 2θ from 5° to 70°:
2θ = 15.91°, I 30, (0 1 1)
2θ = 30.59°, I 58, (1 1 2)
2θ = 33.16°, I 58, (0 3 1)
2θ = 33.77°, I 100, (2 1 1)
2θ = 34.17°, I 37, (1 3 0)
2θ = 36.16°, I 44, (2 2 0)
2θ = 38.81°, I 91, (0 1 3)
2θ = 58.35°, I 28, (2 3 3)

Structural model:
```
Ce2RuAu
1.0
6.0392 0.0000 0.0000
0.0000 8.7392 0.0000
0.0000 0.0000 7.2273
Ce Ru Au
8 4 4
Direct
0.0002 0.0241 0.0000 Ce
0.0001 0.4014 0.2838 Ce
0.9999 0.5986 0.7838 Ce
0.9998 0.9759 0.5000 Ce
0.5001 0.0986 0.2838 Ce
0.5002 0.4759 0.0000 Ce
0.4998 0.5241 0.5000 Ce
0.4999 0.9014 0.7838 Ce
0.0006 0.3267 0.9726 Ru
0.4994 0.8267 0.4726 Ru
0.5006 0.1733 0.9726 Ru
0.9994 0.6733 0.4726 Ru
0.2504 0.2497 0.6499 Au
0.2496 0.7497 0.1499 Au
0.7504 0.2503 0.6499 Au
0.7496 0.7503 0.1499 Au
```